# 1
Structure and simulated powder XRD pattern of RbZr12Te16 (a structure optimized by DFT (GGA-PBE); Cu Kα (weighted mean of Kα1 and Kα2)).
Peak positions follow from Bragg's law for the DFT cell and can differ from measured ones.

Largest 6 diffraction maxima, in order of rising 2θ, 2θ = 10–90°:
2θ (°)  I_rel  h k l
27.62  57  3 0 0
29.16  36  2 0 4
33.34  100  3 1 0
39.46  41  2 2 4
46.88  39  3 2 4
72.30  24  3 5 4

Structural model:
abc: 11.1945 11.1945 15.7992
angles: 90.00 90.00 120.00
Space group P-6 (No. 174)
Asymmetric unit:
Rb: 0.0000 0.0000 0.2242 (multiplicity 2)
Zr: 0.1245 0.4926 0.1245 (multiplicity 6)
Zr: 0.1249 0.4929 0.3755 (multiplicity 6)
Zr: 0.4903 0.3659 0.2501 (multiplicity 6)
Zr: 0.4907 0.3655 0.5000 (multiplicity 3)
Zr: 0.4917 0.3665 0.0000 (multiplicity 3)
Te: 0.0559 0.7111 0.1244 (multiplicity 6)
Te: 0.0559 0.7115 0.3754 (multiplicity 6)
Te: 0.3333 0.6667 0.0000 (multiplicity 1)
Te: 0.3333 0.6667 0.2499 (multiplicity 2)
Te: 0.3333 0.6667 0.5000 (multiplicity 1)
Te: 0.3464 0.0553 0.5000 (multiplicity 3)
Te: 0.3457 0.0556 0.0000 (multiplicity 3)
Te: 0.3483 0.0557 0.2504 (multiplicity 6)
Te: 0.6667 0.3333 0.1252 (multiplicity 2)
Te: 0.6667 0.3333 0.3750 (multiplicity 2)

***

# 2
Structure and simulated powder XRD pattern of Rb8ZrTe6 (a structure optimized by DFT (GGA-PBE); Cu Kα (weighted mean of Kα1 and Kα2)).
Peak positions follow from Bragg's law for the DFT cell and can differ from measured ones.

Largest 6 diffraction maxima, in order of rising 2θ, 2θ = 10–90°:
2θ (°)  I_rel  h k l
20.50  52  2 0 2
22.28  70  0 2 2
23.70  53  1 2 2
30.36  50  0 3 2
30.99  100  3 0 3
32.29  43  4 0 0

Structural model:
abc: 11.0957 9.7540 13.8801
angles: 90.00 90.00 90.00
Space group Pmn2_1 (No. 31)
Asymmetric unit:
Rb: 0.0000 0.1487 0.0000 (multiplicity 2)
Rb: 0.0000 0.1605 0.5154 (multiplicity 2)
Rb: 0.1735 0.5142 0.1607 (multiplicity 4)
Rb: 0.1831 0.6693 0.8627 (multiplicity 4)
Rb: 0.1982 0.9378 0.2406 (multiplicity 4)
Zr: 0.0000 0.6813 0.5595 (multiplicity 2)
Te: 0.0000 0.2321 0.2671 (multiplicity 2)
Te: 0.0000 0.4509 0.6789 (multiplicity 2)
Te: 0.0000 0.7880 0.0587 (multiplicity 2)
Te: 0.0000 0.8959 0.6927 (multiplicity 2)
Te: 0.2046 0.6837 0.4452 (multiplicity 4)

***

# 3
Structure and simulated powder XRD pattern of RbTi (a structure optimized by DFT (GGA-PBE); Cu Kα (weighted mean of Kα1 and Kα2)).
Peak positions follow from Bragg's law for the DFT cell and can differ from measured ones.

Largest 6 diffraction maxima, in order of rising 2θ, 2θ = 10–90°:
2θ (°)  I_rel  h k l
24.29  79  2 1 0
25.35  100  2 0 3
28.68  61  0 1 3
41.16  42  4 1 3
47.63  33  2 2 3
49.42  32  2 1 6

Structural model:
abc: 12.3633 4.5496 12.8062
angles: 90.00 90.00 90.00
Space group Pnma (No. 62)
Asymmetric unit:
Rb: 0.1140 0.2500 0.2489 (multiplicity 4)
Rb: 0.1561 0.2500 0.9129 (multiplicity 4)
Ti: 0.0409 0.7500 0.5160 (multiplicity 4)
Ti: 0.1298 0.2500 0.5841 (multiplicity 4)

***

# 4
Structure and simulated powder XRD pattern of RbTiTl (a structure optimized by DFT (GGA-PBE); Cu Kα (weighted mean of Kα1 and Kα2)).
Peak positions follow from Bragg's law for the DFT cell and can differ from measured ones.

Largest 6 diffraction maxima, in order of rising 2θ, 2θ = 10–90°:
2θ (°)  I_rel  h k l
24.32  45  0 0 4
26.35  53  0 1 2
26.53  51  0 1 -2
28.77  43  1 0 2
35.34  100  1 -1 0
35.85  45  1 0 4

Structural model:
abc: 3.4152 3.7985 14.6301
angles: 89.51 89.56 90.00
Space group P-1 (No. 2)
Asymmetric unit:
Rb: 0.2389 0.2389 0.3449 (multiplicity 2)
Ti: 0.2483 0.2482 0.0478 (multiplicity 2)
Tl: 0.2556 0.2555 0.8406 (multiplicity 2)

***

# 5
Structure and simulated powder XRD pattern of RbTl2 (a structure optimized by DFT (GGA-PBE); Cu Kα (weighted mean of Kα1 and Kα2)).
Peak positions follow from Bragg's law for the DFT cell and can differ from measured ones.

Largest 6 diffraction maxima, in order of rising 2θ, 2θ = 10–90°:
2θ (°)  I_rel  h k l
14.73  39  1 0 0
29.07  34  1 0 3
30.68  85  1 1 2
30.88  100  2 0 1
34.19  44  2 0 2
52.75  44  2 2 0

Structural model:
abc: 6.9450 6.9450 10.7172
angles: 90.00 90.00 120.00
Space group P6_3/mmc (No. 194)
Asymmetric unit:
Rb: 0.3333 0.6667 0.0613 (multiplicity 4)
Tl: 0.0000 0.0000 0.0000 (multiplicity 2)
Tl: 0.1665 0.3329 0.7500 (multiplicity 6)

***

# 6
Structure and simulated powder XRD pattern of Rb8Tl11 (a structure optimized by DFT (GGA-PBE); Cu Kα (weighted mean of Kα1 and Kα2)).
Peak positions follow from Bragg's law for the DFT cell and can differ from measured ones.

Largest 6 diffraction maxima, in order of rising 2θ, 2θ = 10–90°:
2θ (°)  I_rel  h k l
10.25  100  0 1 2
11.74  30  1 0 4
29.15  23  1 2 8
29.40  63  3 0 0
30.22  91  1 1 15
35.72  25  0 3 12

Structural model:
abc: 10.5232 10.5232 53.6370
angles: 90.00 90.00 120.00
Space group R-3c (No. 167, hexagonal axes)
Asymmetric unit:
Rb: 0.0000 0.0000 0.0788 (multiplicity 12)
Rb: 0.0313 0.2985 0.1445 (multiplicity 36)
Tl: 0.0000 0.0000 0.1993 (multiplicity 12)
Tl: 0.0000 0.2114 0.7500 (multiplicity 18)
Tl: 0.0076 0.2939 0.2194 (multiplicity 36)